(1)
For La4Ni2Sn, a DFT-relaxed cell (GGA-PBE, Alexandria) gives the calculated powder diffraction line list in this record (λ = 1.5418 Å (Cu Kα)).
Intensities are scaled so that the largest is 100.

The 6 most intense peaks (2θ = 10–90°), low angle first:
2θ = 18.21°, intensity 47
2θ = 26.82°, intensity 54
2θ = 29.20°, intensity 75
2θ = 30.89°, intensity 100
2θ = 33.94°, intensity 67
2θ = 35.32°, intensity 43

Cell: 8.389 8.128 9.752 Å, 55.06 52.59 72.35°
Positions (direct):
1 La 0.017 0.983 0.820
2 La 0.070 0.430 0.267
3 La 0.149 0.509 0.688
4 La 0.430 0.070 0.233
5 La 0.509 0.149 0.654
6 La 0.562 0.596 0.101
7 La 0.596 0.562 0.741
8 La 0.983 0.017 0.180
9 Ni 0.289 0.290 0.461
10 Ni 0.289 0.789 0.960
11 Ni 0.290 0.289 0.961
12 Ni 0.789 0.289 0.961
13 Sn 0.664 0.664 0.336
14 Sn 0.914 0.914 0.586

***

(2)
For La2SnHg2, a DFT-relaxed cell (GGA-PBE, Alexandria) gives the calculated powder diffraction line list in this record (λ = 1.5418 Å (Cu Kα)).
Intensities are scaled so that the largest is 100.

The 6 most intense peaks (2θ = 10–90°), low angle first:
2θ = 28.90°, intensity 36
2θ = 29.82°, intensity 100
2θ = 30.47°, intensity 44
2θ = 32.99°, intensity 28
2θ = 35.49°, intensity 90
2θ = 37.64°, intensity 51

Cell: 6.353 6.353 11.616 Å, 113.67 113.67 44.19°
Positions (direct):
1 La 0.010 0.010 0.335
2 La 0.181 0.181 0.100
3 La 0.819 0.819 0.900
4 La 0.990 0.990 0.665
5 Sn 0.284 0.284 0.679
6 Sn 0.716 0.716 0.321
7 Hg 0.357 0.357 0.450
8 Hg 0.457 0.457 0.110
9 Hg 0.543 0.543 0.890
10 Hg 0.643 0.643 0.550

***

(3)
For Ho2ZrNi9, a DFT-relaxed cell (GGA-PBE, Alexandria) gives the calculated powder diffraction line list in this record (λ = 1.5418 Å (Cu Kα)).
Intensities are scaled so that the largest is 100.

The 6 most intense peaks (2θ = 10–90°), low angle first:
2θ = 34.85°, intensity 86
2θ = 36.79°, intensity 58
2θ = 43.12°, intensity 37
2θ = 43.24°, intensity 100
2θ = 44.59°, intensity 28
2θ = 46.07°, intensity 43

Cell: 4.886 4.886 16.216 Å, 90.00 90.00 120.00°
Positions (direct):
1 Ho 0.333 0.667 0.044
2 Ho 0.333 0.667 0.456
3 Ho 0.667 0.333 0.544
4 Ho 0.667 0.333 0.956
5 Zr 0.333 0.667 0.250
6 Zr 0.667 0.333 0.750
7 Ni 0.000 0.000 0.000
8 Ni 0.000 0.000 0.250
9 Ni 0.000 0.000 0.500
10 Ni 0.000 0.000 0.750
11 Ni 0.167 0.334 0.628
12 Ni 0.167 0.334 0.872
13 Ni 0.167 0.833 0.628
14 Ni 0.167 0.833 0.872
15 Ni 0.333 0.667 0.750
16 Ni 0.334 0.167 0.128
17 Ni 0.334 0.167 0.372
18 Ni 0.666 0.833 0.628
19 Ni 0.666 0.833 0.872
20 Ni 0.667 0.333 0.250
21 Ni 0.833 0.167 0.128
22 Ni 0.833 0.167 0.372
23 Ni 0.833 0.666 0.128
24 Ni 0.833 0.666 0.372

***

(4)
For LiH6Rh3, a DFT-relaxed cell (GGA-PBE, Alexandria) gives the calculated powder diffraction line list in this record (λ = 1.5418 Å (Cu Kα)).
Intensities are scaled so that the largest is 100.

The 6 most intense peaks (2θ = 10–90°), low angle first:
2θ = 21.83°, intensity 73
2θ = 38.29°, intensity 69
2θ = 38.44°, intensity 100
2θ = 55.38°, intensity 34
2θ = 69.31°, intensity 44
2θ = 78.19°, intensity 15

Cell: 5.504 5.504 5.504 Å, 95.41 95.41 95.41°
Positions (direct):
1 Li 0.000 0.000 0.000
2 Li 0.500 0.500 0.500
3 H 0.004 0.663 0.103
4 H 0.103 0.004 0.663
5 H 0.163 0.504 0.603
6 H 0.337 0.897 0.996
7 H 0.397 0.837 0.496
8 H 0.496 0.397 0.837
9 H 0.504 0.603 0.163
10 H 0.603 0.163 0.504
11 H 0.663 0.103 0.004
12 H 0.837 0.496 0.397
13 H 0.897 0.996 0.337
14 H 0.996 0.337 0.897
15 Rh 0.071 0.750 0.429
16 Rh 0.250 0.571 0.929
17 Rh 0.429 0.071 0.750
18 Rh 0.571 0.929 0.250
19 Rh 0.750 0.429 0.071
20 Rh 0.929 0.250 0.571

***

(5)
For Tb2Pb3, a DFT-relaxed cell (GGA-PBE, Alexandria) gives the calculated powder diffraction line list in this record (λ = 1.5418 Å (Cu Kα)).
Intensities are scaled so that the largest is 100.

The 6 most intense peaks (2θ = 10–90°), low angle first:
2θ = 31.93°, intensity 100
2θ = 35.86°, intensity 35
2θ = 39.27°, intensity 15
2θ = 54.23°, intensity 22
2θ = 61.99°, intensity 22
2θ = 66.60°, intensity 12

Cell: 7.918 7.918 4.589 Å, 90.00 90.00 90.00°
Positions (direct):
1 Tb 0.142 0.693 0.000
2 Tb 0.307 0.142 0.000
3 Tb 0.693 0.858 0.000
4 Tb 0.858 0.307 0.000
5 Pb 0.000 0.000 0.500
6 Pb 0.176 0.395 0.500
7 Pb 0.395 0.824 0.500
8 Pb 0.500 0.500 0.000
9 Pb 0.605 0.176 0.500
10 Pb 0.824 0.605 0.500

***

(6)
For LiTiZnH, a DFT-relaxed cell (GGA-PBE, Alexandria) gives the calculated powder diffraction line list in this record (λ = 1.5418 Å (Cu Kα)).
Intensities are scaled so that the largest is 100.

The 6 most intense peaks (2θ = 10–90°), low angle first:
2θ = 13.92°, intensity 78
2θ = 33.33°, intensity 33
2θ = 39.04°, intensity 100
2θ = 46.71°, intensity 30
2θ = 65.09°, intensity 20
2θ = 81.49°, intensity 20

Cell: 6.651 6.651 6.651 Å, 156.14 156.14 34.00°
Positions (direct):
1 Li 0.000 0.000 0.000
2 Ti 0.690 0.690 0.000
3 Zn 0.353 0.353 0.000
4 H 0.146 0.146 0.000

***

(7)
For CaBiS2Cl, a DFT-relaxed cell (GGA-PBE, Alexandria) gives the calculated powder diffraction line list in this record (λ = 1.5418 Å (Cu Kα)).
Intensities are scaled so that the largest is 100.

The 6 most intense peaks (2θ = 10–90°), low angle first:
2θ = 12.53°, intensity 100
2θ = 13.36°, intensity 27
2θ = 23.48°, intensity 40
2θ = 24.34°, intensity 24
2θ = 27.44°, intensity 40
2θ = 38.83°, intensity 24

Cell: 7.211 4.023 11.590 Å, 90.00 101.67 90.00°
Positions (direct):
1 Ca 0.248 0.250 0.023
2 Ca 0.752 0.750 0.977
3 Bi 0.025 0.250 0.667
4 Bi 0.975 0.750 0.333
5 S 0.103 0.750 0.138
6 S 0.185 0.250 0.430
7 S 0.815 0.750 0.570
8 S 0.897 0.250 0.862
9 Cl 0.362 0.750 0.878
10 Cl 0.638 0.250 0.122

***

(8)
For Pr2ThO, a DFT-relaxed cell (GGA-PBE, Alexandria) gives the calculated powder diffraction line list in this record (λ = 1.5418 Å (Cu Kα)).
Intensities are scaled so that the largest is 100.

The 6 most intense peaks (2θ = 10–90°), low angle first:
2θ = 27.10°, intensity 50
2θ = 28.99°, intensity 100
2θ = 29.47°, intensity 39
2θ = 35.94°, intensity 37
2θ = 37.88°, intensity 73
2θ = 58.77°, intensity 36

Cell: 10.086 10.086 10.086 Å, 20.42 20.42 20.42°
Positions (direct):
1 Pr 0.118 0.118 0.118
2 Pr 0.882 0.882 0.882
3 Th 0.000 0.000 0.000
4 O 0.500 0.500 0.500